No. 1
For NdYNi2P2, DFT lattice parameters and positions (PBE) gives the theoretical powder diffraction line list in this record (Cu Kα, 1.54184 Å).
No peak broadening, texture or thermal motion is included.

Unit cell a=3.923 b=3.923 c=7.972 alpha=90.00 beta=90.00 gamma=120.00
Fractional positions:
Nd1 0.000 0.000 0.000
Y1 0.000 0.000 0.500
Ni1 0.333 0.667 0.745
Ni2 0.667 0.333 0.255
P1 0.333 0.667 0.259
P2 0.667 0.333 0.741

Peak list (6 most intense, 5° ≤ 2θ ≤ 70°, most intense first)
34.70 deg, d 2.585, intensity 100.0
46.29 deg, d 1.961, intensity 36.1
66.94 deg, d 1.398, intensity 22.7
59.12 deg, d 1.563, intensity 20.6
26.23 deg, d 3.397, intensity 18.0
45.52 deg, d 1.993, intensity 12.5



No. 2
For Nd3Ni2Pb4, DFT lattice parameters and positions (PBE) gives the theoretical powder diffraction line list in this record (Cu Kα, 1.54184 Å).
No peak broadening, texture or thermal motion is included.

Unit cell a=6.304 b=6.304 c=8.960 alpha=102.38 beta=102.38 gamma=42.51
Fractional positions:
Nd1 0.000 0.000 0.000
Nd2 0.371 0.371 0.313
Nd3 0.629 0.629 0.687
Ni1 0.290 0.290 0.589
Ni2 0.710 0.710 0.411
Pb1 0.086 0.086 0.379
Pb2 0.298 0.298 0.905
Pb3 0.702 0.702 0.095
Pb4 0.914 0.914 0.621

Peak list (6 most intense, 5° ≤ 2θ ≤ 70°, most intense first)
30.48 deg, d 2.933, intensity 100.0
30.62 deg, d 2.920, intensity 59.5
39.43 deg, d 2.285, intensity 34.5
31.15 deg, d 2.872, intensity 33.1
39.65 deg, d 2.273, intensity 25.9
51.08 deg, d 1.788, intensity 19.4



No. 3
For Nd4Ni2Pb, DFT lattice parameters and positions (PBE) gives the theoretical powder diffraction line list in this record (Cu Kα, 1.54184 Å).
No peak broadening, texture or thermal motion is included.

Unit cell a=8.950 b=8.950 c=6.999 alpha=107.54 beta=107.54 gamma=121.74
Fractional positions:
Nd1 0.011 0.989 0.500
Nd2 0.136 0.705 0.847
Nd3 0.409 0.570 0.157
Nd4 0.555 0.978 0.724
Nd5 0.570 0.409 0.657
Nd6 0.705 0.136 0.347
Nd7 0.978 0.555 0.224
Nd8 0.989 0.011 0.000
Ni1 0.283 0.954 0.320
Ni2 0.620 0.785 0.989
Ni3 0.785 0.620 0.489
Ni4 0.954 0.283 0.820
Pb1 0.228 0.453 0.533
Pb2 0.453 0.228 0.033

Peak list (6 most intense, 5° ≤ 2θ ≤ 70°, most intense first)
31.48 deg, d 2.842, intensity 100.0
32.39 deg, d 2.764, intensity 64.8
34.93 deg, d 2.569, intensity 50.3
40.38 deg, d 2.234, intensity 31.8
27.04 deg, d 3.298, intensity 25.7
31.60 deg, d 2.832, intensity 25.3



No. 4
For Nd4NiPd, DFT lattice parameters and positions (PBE) gives the theoretical powder diffraction line list in this record (Cu Kα, 1.54184 Å).
No peak broadening, texture or thermal motion is included.

Unit cell a=7.067 b=7.067 c=6.476 alpha=90.00 beta=90.00 gamma=90.00
Fractional positions:
Nd1 0.173 0.314 0.000
Nd2 0.173 0.686 0.500
Nd3 0.314 0.173 0.500
Nd4 0.314 0.827 0.000
Nd5 0.686 0.173 0.000
Nd6 0.686 0.827 0.500
Nd7 0.827 0.314 0.500
Nd8 0.827 0.686 0.000
Ni1 0.000 0.000 0.250
Ni2 0.000 0.000 0.750
Pd1 0.500 0.500 0.250
Pd2 0.500 0.500 0.750

Peak list (6 most intense, 5° ≤ 2θ ≤ 70°, most intense first)
31.50 deg, d 2.840, intensity 100.0
37.68 deg, d 2.387, intensity 55.2
55.46 deg, d 1.657, intensity 31.7
40.36 deg, d 2.235, intensity 26.4
51.25 deg, d 1.782, intensity 25.5
32.96 deg, d 2.717, intensity 21.3